Theoretical powder XRD pattern
Compound: Ba2Mn2TlO7
Radiation: Cu Kα, 1.54184 Å
Structure: DFT lattice parameters and positions (PBE+U)
Intensities are scaled so that the largest is 100.

Top 10 peaks for 2θ from 10° to 90°, in order of rising 2θ:
2theta	d (Å)	I (rel.)	h k l
26.46	3.369	56	1 0 2
29.76	3.002	100	1 0 3
33.49	2.676	45	1 1 0
34.05	2.633	26	1 1 1
36.43	2.467	19	0 0 6
45.71	1.985	28	1 1 5
48.09	1.892	24	2 0 0
50.31	1.814	18	1 1 6
55.27	1.662	18	1 0 8
57.58	1.601	32	2 1 3

Crystal structure
```
Ba2Mn2TlO7
1.0
3.784 0.000 0.000
0.000 3.784 0.000
0.000 0.000 14.799
Ba Mn Tl O
2 2 1 7
Direct
0.000 0.000 0.188 Ba
0.000 0.000 0.812 Ba
0.500 0.500 0.350 Mn
0.500 0.500 0.650 Mn
0.500 0.500 0.000 Tl
0.000 0.000 0.000 O
0.000 0.500 0.332 O
0.000 0.500 0.668 O
0.500 0.000 0.332 O
0.500 0.000 0.668 O
0.500 0.500 0.141 O
0.500 0.500 0.859 O
```